1.
For AlZn6Cu2, the GGA-PBE geometry in Alexandria gives the computed powder diffraction line list in this record (a wavelength of 1.5418 Å).
Lines closer than 0.1° are merged.

Atomic structure:
```
AlZn6Cu2
1.0
6.069 -1.317 0.000
6.069 1.317 0.000
-3.875 0.000 8.271
Al Zn Cu
1 6 2
direct
0.000 0.000 0.000
0.024 0.024 0.680
0.269 0.269 0.131
0.330 0.330 0.448
0.670 0.670 0.552
0.731 0.731 0.869
0.976 0.976 0.320
0.367 0.367 0.755
0.633 0.633 0.245
```

Main lines, by intensity (2θ = 10–90°):
- 2θ 45.93, I 1000
- 2θ 42.25, I 659
- 2θ 42.47, I 546
- 2θ 40.87, I 460
- 2θ 42.09, I 368
- 2θ 34.98, I 214
- 2θ 10.70, I 190
- 2θ 67.71, I 160



2.
For Al2Zn2Cu7, the GGA-PBE geometry in Alexandria gives the computed powder diffraction line list in this record (a wavelength of 1.5418 Å).
Lines closer than 0.1° are merged.

Atomic structure:
```
Al2Zn2Cu7
1.0
4.496 -3.926 0.000
4.496 3.926 0.000
-1.154 0.000 4.276
Al Zn Cu
2 2 7
direct
0.206 0.794 0.000
0.794 0.206 0.000
0.247 0.247 0.234
0.753 0.753 0.766
0.000 0.000 0.500
0.046 0.402 0.734
0.402 0.046 0.734
0.457 0.457 0.729
0.543 0.543 0.271
0.598 0.954 0.266
0.954 0.598 0.266
```

Main lines, by intensity (2θ = 10–90°):
- 2θ 47.96, I 1000
- 2θ 43.19, I 812
- 2θ 40.37, I 794
- 2θ 41.61, I 653
- 2θ 42.27, I 369
- 2θ 20.46, I 357
- 2θ 41.96, I 348
- 2θ 30.71, I 264



3.
For Al2Zn2Cu, the GGA-PBE geometry in Alexandria gives the computed powder diffraction line list in this record (a wavelength of 1.5418 Å).
Lines closer than 0.1° are merged.

Atomic structure:
```
Al2Zn2Cu
1.0
3.503 0.000 0.000
0.000 3.503 0.000
0.000 0.000 13.500
Al Zn Cu
4 4 2
direct
0.000 0.000 0.096
0.000 0.000 0.904
0.500 0.500 0.404
0.500 0.500 0.596
0.000 0.500 0.250
0.000 0.500 0.750
0.500 0.000 0.250
0.500 0.000 0.750
0.000 0.000 0.500
0.500 0.500 0.000
```

Main lines, by intensity (2θ = 10–90°):
- 2θ 38.72, I 1000
- 2θ 26.41, I 382
- 2θ 52.22, I 267
- 2θ 42.26, I 216
- 2θ 32.39, I 204
- 2θ 13.12, I 182
- 2θ 55.14, I 169
- 2θ 89.69, I 160